Starting from a PBE-relaxed structure, the powder diffraction line list of PmDy7Er4 was simulated for Cu Kα X-rays.

Top 12 peaks for 2θ from 5° to 70°, sorted by position:
- 2θ 29.12, d = 3.067 Å, I 37, (1 -2 0)
- 2θ 29.75, d = 3.003 Å, I 17, (-1 2 1)
- 2θ 31.42, d = 2.847 Å, I 51, (0 0 3)
- 2θ 32.17, d = 2.782 Å, I 100, (1 2 1)
- 2θ 33.88, d = 2.646 Å, I 90, (2 0 1)
- 2θ 40.57, d = 2.224 Å, I 14, (-1 2 3)
- 2θ 51.22, d = 1.783 Å, I 39, (0 4 0)
- 2θ 55.28, d = 1.662 Å, I 21, (1 2 4)
- 2θ 58.62, d = 1.575 Å, I 19, (2 0 4)
- 2θ 61.34, d = 1.511 Å, I 45, (3 2 2)
- 2θ 61.79, d = 1.501 Å, I 16, (-2 4 2)
- 2θ 62.84, d = 1.479 Å, I 15, (2 -4 1)

Structure:
```
data_PmDy7Er4
_cell_length_a 6.1766
_cell_length_b 7.1355
_cell_length_c 8.7861
_cell_angle_alpha 90.00
_cell_angle_beta 103.54
_cell_angle_gamma 90.02
_symmetry_space_group_name_H-M 'P -1'
_symmetry_Int_Tables_number 2
_symmetry_space_group_name_Hall '-P 1'
loop_
_atom_site_label
_atom_site_fract_x
_atom_site_fract_y
_atom_site_fract_z
Pm1 0.0000 0.0000 0.0000
Dy1 0.0000 0.5000 0.0000
Dy2 0.2225 0.0003 0.6651
Dy3 0.2790 0.7485 0.3357
Dy4 0.4998 0.2513 0.0002
Er1 0.2208 0.5002 0.6652
Er2 0.2786 0.2512 0.3352
```